(1)
Diffraction record for Nd3Al4. The powder diffraction line list is computed, not measured: it uses a crystal structure in Alexandria, relaxed with PBE and Cu Ka.

Structure:
a = 3.7775 Å, b = 4.5788 Å, c = 20.3005 Å
α = 90.00°, β = 90.00°, γ = 90.00°
Space group Immm (No. 71)
Asymmetric unit:
Nd (0.0000, 0.0000, 0.0000) (multiplicity 2)
Nd (0.0000, 0.5000, 0.1925) (multiplicity 4)
Al (0.0000, 0.0000, 0.4346) (multiplicity 4)
Al (0.0000, 0.5000, 0.3637) (multiplicity 4)

Top 12 peaks for 2θ from 10° to 90°, low angle first:
| d [Å] | I/Imax | index |
| --- | --- | --- |
| 3.792 | 74 | 0 1 3 |
| 3.714 | 16 | 1 0 1 |
| 3.383 | 20 | 0 0 6 |
| 2.801 | 100 | 1 1 2 |
| 2.766 | 66 | 1 0 5 |
| 2.450 | 36 | 0 1 7 |
| 2.289 | 25 | 0 2 0 |
| 1.914 | 21 | 1 1 8 |
| 1.889 | 14 | 2 0 0 |
| 1.764 | 35 | 1 2 5 |
| 1.691 | 15 | 2 1 3 |
| 1.496 | 15 | 2 1 7 |

***

(2)
Diffraction record for La3PrPd3. The powder diffraction line list is computed, not measured: it uses a crystal structure in Alexandria, relaxed with PBE and Cu Ka.

Structure:
a = 9.7253 Å, b = 10.7591 Å, c = 7.4515 Å
α = 90.00°, β = 92.68°, γ = 90.00°
Space group C2/m (No. 12)
Asymmetric unit:
La (0.0000, 0.1846, 0.0000) (multiplicity 4)
La (0.0000, 0.2538, 0.5000) (multiplicity 4)
La (0.1572, 0.5000, 0.8891) (multiplicity 4)
Pr (0.2468, 0.5000, 0.3793) (multiplicity 4)
Pd (0.0564, 0.0000, 0.3012) (multiplicity 4)
Pd (0.2402, 0.2268, 0.2690) (multiplicity 8)

Top 12 peaks for 2θ from 10° to 90°, low angle first:
| d [Å] | I/Imax | index |
| --- | --- | --- |
| 3.261 | 28 | 1 1 2 |
| 3.101 | 20 | 3 1 0 |
| 3.085 | 31 | 1 3 -1 |
| 2.909 | 27 | 3 1 -1 |
| 2.890 | 47 | 2 0 2 |
| 2.690 | 55 | 0 4 0 |
| 2.636 | 100 | 2 2 -2 |
| 2.546 | 24 | 2 2 2 |
| 2.476 | 42 | 1 3 2 |
| 2.429 | 26 | 4 0 0 |
| 2.214 | 18 | 4 2 0 |
| 1.759 | 29 | 0 2 4 |

***

(3)
Diffraction record for Ce3Er2NpN6. The powder diffraction line list is computed, not measured: it uses a crystal structure in Alexandria, relaxed with PBE and Cu Ka.

Structure:
a = 6.0355 Å, b = 10.4508 Å, c = 6.0984 Å
α = 90.00°, β = 109.28°, γ = 90.00°
Space group C2/m (No. 12)
Asymmetric unit:
Ce (0.0000, 0.0000, 0.0000) (multiplicity 2)
Ce (0.0000, 0.3319, 0.0000) (multiplicity 4)
Er (0.0000, 0.1665, 0.5000) (multiplicity 4)
Np (0.0000, 0.5000, 0.5000) (multiplicity 2)
N (0.2385, 0.3389, 0.7322) (multiplicity 8)
N (0.2442, 0.5000, 0.2661) (multiplicity 4)

Top 12 peaks for 2θ from 10° to 90°, low angle first:
| d [Å] | I/Imax | index |
| --- | --- | --- |
| 2.878 | 35 | 0 0 2 |
| 2.848 | 100 | 2 0 0 |
| 2.473 | 95 | 1 3 1 |
| 1.756 | 33 | 2 0 2 |
| 1.742 | 32 | 0 6 0 |
| 1.499 | 15 | 1 3 3 |
| 1.490 | 30 | 3 3 1 |
| 1.486 | 15 | 2 6 0 |
| 1.424 | 16 | 4 0 0 |
| 1.131 | 13 | 5 3 -1 |
| 1.109 | 15 | 3 3 3 |
| 1.103 | 15 | 4 6 0 |

***

(4)
Diffraction record for Na2Bi5Pd2. The powder diffraction line list is computed, not measured: it uses a crystal structure in Alexandria, relaxed with PBE and Cu Ka.

Structure:
a = 16.0779 Å, b = 9.8783 Å, c = 6.3005 Å
α = 90.00°, β = 90.00°, γ = 90.00°
Space group Ima2 (No. 46)
Asymmetric unit:
Na (0.1148, 0.0258, 0.0000) (multiplicity 8)
Bi (0.0497, 0.7489, 0.7403) (multiplicity 8)
Bi (0.1447, 0.1569, 0.5178) (multiplicity 8)
Bi (0.2500, 0.6771, 0.7406) (multiplicity 4)
Pd (0.0000, 0.0000, 0.4772) (multiplicity 4)
Pd (0.2500, 0.5509, 0.1536) (multiplicity 4)

Top 12 peaks for 2θ from 10° to 90°, low angle first:
| d [Å] | I/Imax | index |
| --- | --- | --- |
| 5.312 | 46 | 0 1 1 |
| 4.939 | 33 | 0 2 0 |
| 3.778 | 31 | 1 2 1 |
| 3.058 | 100 | 5 1 0 |
| 2.950 | 67 | 1 1 2 |
| 2.656 | 18 | 0 2 2 |
| 2.522 | 21 | 2 2 2 |
| 2.479 | 46 | 4 0 2 |
| 2.361 | 56 | 4 3 1 |
| 2.276 | 19 | 1 4 1 |
| 2.041 | 18 | 6 0 2 |
| 1.400 | 16 | 5 1 4 |

***

(5)
Diffraction record for Ho12Co6Si. The powder diffraction line list is computed, not measured: it uses a crystal structure in Alexandria, relaxed with PBE and Cu Ka.

Structure:
a = 9.5273 Å, b = 9.5273 Å, c = 9.5273 Å
α = 90.00°, β = 90.00°, γ = 90.00°
Space group Im-3 (No. 204)
Asymmetric unit:
Ho (0.0000, 0.1938, 0.2996) (multiplicity 24)
Co (0.0000, 0.3857, 0.5000) (multiplicity 12)
Si (0.0000, 0.0000, 0.0000) (multiplicity 2)

Top 12 peaks for 2θ from 10° to 90°, low angle first:
| d [Å] | I/Imax | index |
| --- | --- | --- |
| 3.368 | 16 | 2 2 0 |
| 3.013 | 45 | 3 1 0 |
| 2.750 | 54 | 2 2 2 |
| 2.546 | 100 | 3 2 1 |
| 2.382 | 21 | 4 0 0 |
| 1.868 | 21 | 5 1 0 |
| 1.634 | 41 | 5 0 3 |
| 1.546 | 38 | 5 3 2 |
| 1.347 | 20 | 5 4 3 |
| 1.297 | 12 | 7 2 1 |
| 1.123 | 15 | 8 2 2 |
| 1.108 | 20 | 7 5 0 |

***

(6)
Diffraction record for Ca2NbBiO6. The powder diffraction line list is computed, not measured: it uses a crystal structure in Alexandria, relaxed with PBE and Cu Ka.

Structure:
a = 5.7090 Å, b = 5.7090 Å, c = 5.1852 Å
α = 90.00°, β = 90.00°, γ = 90.00°
Space group P4mm (No. 99)
Asymmetric unit:
Ca (0.0000, 0.5000, 0.0000) (multiplicity 2)
Nb (0.0000, 0.0000, 0.6351) (multiplicity 1)
Bi (0.5000, 0.5000, 0.5951) (multiplicity 1)
O (0.0000, 0.0000, 0.2784) (multiplicity 1)
O (0.2313, 0.2313, 0.7644) (multiplicity 4)
O (0.5000, 0.5000, 0.1829) (multiplicity 1)

Top 12 peaks for 2θ from 10° to 90°, low angle first:
| d [Å] | I/Imax | index |
| --- | --- | --- |
| 5.709 | 15 | 1 0 0 |
| 5.185 | 45 | 0 0 1 |
| 4.037 | 46 | 1 1 0 |
| 3.838 | 13 | 1 0 1 |
| 3.185 | 100 | 1 1 1 |
| 2.855 | 38 | 2 0 0 |
| 2.501 | 13 | 2 0 1 |
| 2.181 | 25 | 1 1 2 |
| 2.018 | 25 | 2 2 0 |
| 1.919 | 24 | 2 0 2 |
| 1.705 | 33 | 3 1 1 |
| 1.482 | 15 | 3 1 2 |